This entry pairs a crystal structure of SnPtN4Cl6 with its theoretical powder diffraction line list. Radiation: Cu Kα (weighted mean of Kα1 and Kα2). Structure: a GGA-PBE-relaxed structure.
Kinematic intensities with the Lorentz-polarization factor, no thermal factor.

Principal peaks in the range 2θ = 15–90°, sorted by position:
2θ = 18.3°, d 4.861, intensity 37
2θ = 20.4°, d 4.344, intensity 100
2θ = 23.3°, d 3.812, intensity 87
2θ = 27.5°, d 3.239, intensity 79
2θ = 32.6°, d 2.747, intensity 42
2θ = 34.5°, d 2.597, intensity 59
2θ = 37.6°, d 2.392, intensity 95
2θ = 48.2°, d 1.887, intensity 36
2θ = 50.1°, d 1.820, intensity 35
2θ = 50.6°, d 1.804, intensity 37

Crystal structure
```
SnPtN4Cl6
1.0
4.861 -6.138 0.000
4.861 6.138 0.000
0.000 0.000 12.298
Sn Pt N Cl
2 2 8 12
Direct
0.000 0.000 0.000
0.500 0.500 0.500
0.000 0.000 0.500
0.500 0.500 0.000
0.058 0.187 0.395
0.187 0.058 0.605
0.313 0.442 0.105
0.442 0.313 0.895
0.558 0.687 0.105
0.687 0.558 0.895
0.813 0.942 0.395
0.942 0.813 0.605
0.113 0.308 0.106
0.149 0.851 0.131
0.192 0.387 0.394
0.308 0.113 0.894
0.351 0.649 0.631
0.387 0.192 0.606
0.613 0.808 0.394
0.649 0.351 0.369
0.692 0.887 0.106
0.808 0.613 0.606
0.851 0.149 0.869
0.887 0.692 0.894
```